Structure and theoretical powder XRD pattern of PuNpCl2O6 (a cell relaxed with PBE; Cu Kα, 1.54184 Å).
Lines closer than 0.1° are merged.

Peak list (10 most intense, 15° ≤ 2θ ≤ 90°, low angle first)
Position (°2θ)	I_rel	index
16.72	100	0 0 1
22.01	64	1 -1 0
22.11	63	1 1 1
23.75	55	1 1 0
24.01	53	1 -1 1
30.20	32	0 2 0
30.65	31	2 0 1
33.80	33	0 0 2
34.92	24	1 1 -1
35.38	23	1 -1 2

Structural model:
```
data_PuNpCl2O6
_chemical_formula_sum 'Pu1 Np1 Cl2 O6'
_space_group_name_H-M_alt 'P -1'
_space_group_IT_number 2
_space_group_name_Hall '-P 1'
_cell_length_a 5.835
_cell_length_b 6.001
_cell_length_c 6.077
_cell_angle_alpha 81.59
_cell_angle_beta 62.22
_cell_angle_gamma 89.90
loop_
_atom_site_label
_atom_site_type_symbol
_atom_site_fract_x
_atom_site_fract_y
_atom_site_fract_z
_atom_site_occupancy
Pu1 Pu 0.000 0.000 0.000 1
Np1 Np 0.500 0.500 0.000 1
Cl1 Cl 0.255 0.522 0.491 1
O1 O 0.160 0.033 0.669 1
O2 O 0.263 0.269 0.022 1
O3 O 0.281 0.728 0.977 1
```


Structure and theoretical powder XRD pattern of Rb4NpS2ClO10 (a cell relaxed with PBE; Cu Kα, 1.54184 Å).
Lines closer than 0.1° are merged.

Peak list (10 most intense, 15° ≤ 2θ ≤ 90°, low angle first)
Position (°2θ)	I_rel	index
24.84	24	3 0 -2
25.11	100	1 1 -3
25.40	26	2 1 -1
26.39	71	2 0 2
27.52	24	3 0 -4
29.20	21	2 1 1
32.18	26	3 1 -1
38.66	28	0 2 0
40.86	35	1 1 5
47.40	22	2 2 2

Structural model:
```
data_Rb4NpS2ClO10
_chemical_formula_sum 'Rb8 Np2 S4 Cl2 O20'
_space_group_name_H-M_alt 'P 1 2/c 1'
_space_group_IT_number 13
_space_group_name_Hall '-P 2yc'
_cell_length_a 10.753
_cell_length_b 4.658
_cell_length_c 16.441
_cell_angle_alpha 90.00
_cell_angle_beta 116.79
_cell_angle_gamma 90.00
loop_
_atom_site_label
_atom_site_type_symbol
_atom_site_fract_x
_atom_site_fract_y
_atom_site_fract_z
_atom_site_occupancy
Rb1 Rb 0.069 0.230 0.130 1
Rb2 Rb 0.335 0.229 0.894 1
Np1 Np 0.500 0.272 0.250 1
S1 S 0.304 0.345 0.575 1
Cl1 Cl 0.000 0.265 0.750 1
O1 O 0.162 0.255 0.557 1
O2 O 0.319 0.334 0.089 1
O3 O 0.338 0.262 0.501 1
O4 O 0.359 0.272 0.285 1
O5 O 0.413 0.227 0.666 1
```